# 1
For HfNiSeN2, a structure optimized by DFT (GGA-PBE) gives the computed powder XRD pattern in this record (Cu Ka).

Peak list (10 most intense, 2θ from 15° to 90°, by angle)
| Position (°2θ) | I/Imax |
| --- | --- |
| 19.84 | 52 |
| 30.72 | 73 |
| 33.05 | 100 |
| 38.85 | 70 |
| 40.32 | 40 |
| 47.44 | 50 |
| 51.90 | 19 |
| 53.08 | 53 |
| 57.58 | 25 |
| 63.97 | 39 |

Cell: 3.8329 3.8329 4.4741 Å, 90.00 90.00 90.00°
Element x y z (fractional)
Hf (0.0000, 0.0000, 0.0000)
Ni (0.5000, 0.5000, 0.5000)
Se (0.5000, 0.5000, 0.0000)
N (0.0000, 0.5000, 0.5000)
N (0.5000, 0.0000, 0.5000)

# 2
For YHf2NiN4, a structure optimized by DFT (GGA-PBE) gives the computed powder XRD pattern in this record (Cu Ka).

Peak list (10 most intense, 2θ from 15° to 90°, by angle)
| Position (°2θ) | I/Imax |
| --- | --- |
| 16.06 | 26 |
| 18.27 | 29 |
| 29.36 | 100 |
| 33.13 | 70 |
| 33.38 | 97 |
| 38.16 | 37 |
| 41.09 | 94 |
| 44.31 | 34 |
| 50.94 | 35 |
| 57.16 | 31 |

Cell: 5.6398 5.6398 11.0394 Å, 90.00 90.00 147.00°
Element x y z (fractional)
Y (0.1115, 0.8885, 0.7500)
Y (0.8885, 0.1115, 0.2500)
Hf (0.3680, 0.6320, 0.5560)
Hf (0.3680, 0.6320, 0.9440)
Hf (0.6320, 0.3680, 0.0560)
Hf (0.6320, 0.3680, 0.4440)
Ni (0.1520, 0.8480, 0.2500)
Ni (0.8480, 0.1520, 0.7500)
N (0.0000, 0.0000, 0.0000)
N (0.0000, 0.0000, 0.5000)
N (0.2690, 0.7310, 0.1129)
N (0.2690, 0.7310, 0.3871)
N (0.4503, 0.5497, 0.7500)
N (0.5497, 0.4503, 0.2500)
N (0.7310, 0.2690, 0.6129)
N (0.7310, 0.2690, 0.8871)

# 3
For Hf3NpN4, a structure optimized by DFT (GGA-PBE) gives the computed powder XRD pattern in this record (Cu Ka).

Peak list (10 most intense, 2θ from 15° to 90°, by angle)
| Position (°2θ) | I/Imax |
| --- | --- |
| 26.98 | 39 |
| 33.37 | 100 |
| 39.11 | 19 |
| 47.59 | 11 |
| 47.71 | 21 |
| 48.16 | 16 |
| 59.39 | 14 |
| 63.30 | 28 |
| 67.23 | 14 |
| 79.58 | 12 |

Cell: 4.6069 7.6429 6.5985 Å, 90.00 90.00 90.00°
Element x y z (fractional)
Hf (0.2500, 0.0009, 0.1671)
Hf (0.2500, 0.4991, 0.1671)
Hf (0.2500, 0.7500, 0.6772)
Hf (0.7500, 0.2500, 0.3228)
Hf (0.7500, 0.5009, 0.8329)
Hf (0.7500, 0.9991, 0.8329)
Np (0.2500, 0.2500, 0.6572)
Np (0.7500, 0.7500, 0.3428)
N (0.2500, 0.2500, 0.3091)
N (0.2500, 0.5065, 0.8435)
N (0.2500, 0.7500, 0.3352)
N (0.2500, 0.9935, 0.8435)
N (0.7500, 0.0065, 0.1565)
N (0.7500, 0.2500, 0.6648)
N (0.7500, 0.4935, 0.1565)
N (0.7500, 0.7500, 0.6909)

# 4
For HfNp3N4, a structure optimized by DFT (GGA-PBE) gives the computed powder XRD pattern in this record (Cu Ka).

Peak list (10 most intense, 2θ from 15° to 90°, by angle)
| Position (°2θ) | I/Imax |
| --- | --- |
| 32.20 | 39 |
| 32.47 | 77 |
| 32.66 | 38 |
| 37.64 | 100 |
| 53.99 | 24 |
| 54.31 | 23 |
| 54.58 | 23 |
| 64.64 | 23 |
| 64.91 | 23 |
| 67.99 | 12 |

Cell: 5.8967 6.7504 5.8173 Å, 90.00 109.48 90.00°
Element x y z (fractional)
Hf (0.0000, 0.1215, 0.2500)
Hf (0.0000, 0.8785, 0.7500)
Np (0.0000, 0.3752, 0.7500)
Np (0.0000, 0.6248, 0.2500)
Np (0.5000, 0.1234, 0.7500)
Np (0.5000, 0.3733, 0.2500)
Np (0.5000, 0.6267, 0.7500)
Np (0.5000, 0.8766, 0.2500)
N (0.2315, 0.1177, 0.9982)
N (0.2315, 0.8823, 0.4982)
N (0.2376, 0.3626, 0.4906)
N (0.2376, 0.6374, 0.9906)
N (0.7624, 0.3626, 0.0094)
N (0.7624, 0.6374, 0.5094)
N (0.7685, 0.1177, 0.5018)
N (0.7685, 0.8823, 0.0018)

# 5
For Hf2N2O, a structure optimized by DFT (GGA-PBE) gives the computed powder XRD pattern in this record (Cu Ka).

Peak list (10 most intense, 2θ from 15° to 90°, by angle)
| Position (°2θ) | I/Imax |
| --- | --- |
| 30.66 | 57 |
| 30.90 | 100 |
| 32.38 | 50 |
| 32.92 | 99 |
| 45.19 | 40 |
| 49.74 | 30 |
| 50.57 | 18 |
| 56.83 | 18 |
| 57.23 | 21 |
| 58.09 | 25 |

Cell: 5.4437 5.4437 5.8553 Å, 118.24 118.24 61.05°
Element x y z (fractional)
Hf (0.2313, 0.7687, 0.5000)
Hf (0.4684, 0.9463, 0.1423)
Hf (0.7687, 0.2313, 0.0000)
Hf (0.9463, 0.4684, 0.6423)
N (0.0454, 0.1380, 0.8073)
N (0.1380, 0.0454, 0.3073)
N (0.6427, 0.8426, 0.8251)
N (0.8426, 0.6427, 0.3251)
O (0.3483, 0.5386, 0.8369)
O (0.5386, 0.3483, 0.3369)

# 6
For Hf2N2O, a structure optimized by DFT (GGA-PBE) gives the computed powder XRD pattern in this record (Cu Ka).

Peak list (10 most intense, 2θ from 15° to 90°, by angle)
| Position (°2θ) | I/Imax |
| --- | --- |
| 30.92 | 100 |
| 32.59 | 32 |
| 32.80 | 65 |
| 45.49 | 26 |
| 45.95 | 12 |
| 50.06 | 19 |
| 57.14 | 12 |
| 57.29 | 13 |
| 57.47 | 12 |
| 58.29 | 17 |

Cell: 5.8156 5.4945 7.9264 Å, 90.00 94.71 90.00°
Element x y z (fractional)
Hf (0.2110, 0.0116, 0.1455)
Hf (0.2110, 0.9884, 0.6455)
Hf (0.2787, 0.5001, 0.3566)
Hf (0.2787, 0.4999, 0.8566)
Hf (0.7213, 0.5001, 0.1434)
Hf (0.7213, 0.4999, 0.6434)
Hf (0.7890, 0.0116, 0.3545)
Hf (0.7890, 0.9884, 0.8545)
N (0.0000, 0.3066, 0.2500)
N (0.0000, 0.6934, 0.7500)
N (0.1525, 0.1522, 0.8999)
N (0.1525, 0.8478, 0.3999)
N (0.5000, 0.2151, 0.2500)
N (0.5000, 0.7849, 0.7500)
N (0.8475, 0.1522, 0.6001)
N (0.8475, 0.8478, 0.1001)
O (0.3500, 0.3474, 0.6014)
O (0.3500, 0.6526, 0.1014)
O (0.6500, 0.3474, 0.8986)
O (0.6500, 0.6526, 0.3986)

# 7
For HfPaP2N, a structure optimized by DFT (GGA-PBE) gives the computed powder XRD pattern in this record (Cu Ka).

Peak list (10 most intense, 2θ from 15° to 90°, by angle)
| Position (°2θ) | I/Imax |
| --- | --- |
| 27.47 | 100 |
| 27.90 | 24 |
| 33.63 | 54 |
| 36.86 | 24 |
| 44.24 | 33 |
| 48.29 | 22 |
| 49.09 | 12 |
| 55.17 | 15 |
| 56.45 | 29 |
| 56.69 | 14 |

Cell: 3.7692 3.7692 12.7927 Å, 90.00 90.00 90.00°
Element x y z (fractional)
Hf (0.2500, 0.2500, 0.1041)
Hf (0.7500, 0.7500, 0.8959)
Pa (0.2500, 0.2500, 0.5992)
Pa (0.7500, 0.7500, 0.4008)
P (0.2500, 0.2500, 0.2999)
P (0.2500, 0.2500, 0.8923)
P (0.7500, 0.7500, 0.1077)
P (0.7500, 0.7500, 0.7001)
N (0.2500, 0.7500, 0.5000)
N (0.7500, 0.2500, 0.5000)

# 8
For Sr2HfP2N6, a structure optimized by DFT (GGA-PBE) gives the computed powder XRD pattern in this record (Cu Ka).

Peak list (10 most intense, 2θ from 15° to 90°, by angle)
| Position (°2θ) | I/Imax |
| --- | --- |
| 18.89 | 54 |
| 27.72 | 42 |
| 31.73 | 95 |
| 31.94 | 100 |
| 42.63 | 29 |
| 45.64 | 34 |
| 56.52 | 18 |
| 56.65 | 36 |
| 58.56 | 23 |
| 66.29 | 17 |

Cell: 6.5665 6.5665 6.5665 Å, 50.87 50.87 50.87°
Element x y z (fractional)
Sr (0.2137, 0.2137, 0.2137)
Sr (0.7863, 0.7863, 0.7863)
Hf (0.0000, 0.0000, 0.0000)
P (0.4120, 0.4120, 0.4120)
P (0.5880, 0.5880, 0.5880)
N (0.2521, 0.2521, 0.7360)
N (0.2521, 0.7360, 0.2521)
N (0.2640, 0.7479, 0.7479)
N (0.7360, 0.2521, 0.2521)
N (0.7479, 0.2640, 0.7479)
N (0.7479, 0.7479, 0.2640)

# 9
For SrHfPa4N8, a structure optimized by DFT (GGA-PBE) gives the computed powder XRD pattern in this record (Cu Ka).

Peak list (10 most intense, 2θ from 15° to 90°, by angle)
| Position (°2θ) | I/Imax |
| --- | --- |
| 15.45 | 29 |
| 29.70 | 73 |
| 30.10 | 100 |
| 30.89 | 51 |
| 31.19 | 72 |
| 36.62 | 32 |
| 47.57 | 30 |
| 48.11 | 35 |
| 51.75 | 46 |
| 53.76 | 41 |

Cell: 6.8287 6.8287 6.8287 Å, 62.32 62.32 62.32°
Element x y z (fractional)
Sr (0.0000, 0.0000, 0.0000)
Hf (0.6244, 0.6244, 0.6244)
Pa (0.1162, 0.6230, 0.6230)
Pa (0.2441, 0.2441, 0.2441)
Pa (0.6230, 0.1162, 0.6230)
Pa (0.6230, 0.6230, 0.1162)
N (0.3810, 0.3810, 0.3810)
N (0.3857, 0.3857, 0.8359)
N (0.3857, 0.8359, 0.3857)
N (0.4410, 0.8456, 0.8456)
N (0.8359, 0.3857, 0.3857)
N (0.8456, 0.4410, 0.8456)
N (0.8456, 0.8456, 0.4410)
N (0.8492, 0.8492, 0.8492)

# 10
For Hf4ZrPaN8, a structure optimized by DFT (GGA-PBE) gives the computed powder XRD pattern in this record (Cu Ka).

Peak list (10 most intense, 2θ from 15° to 90°, by angle)
| Position (°2θ) | I/Imax |
| --- | --- |
| 27.44 | 36 |
| 32.32 | 100 |
| 33.79 | 22 |
| 48.53 | 13 |
| 51.63 | 14 |
| 51.71 | 24 |
| 56.61 | 18 |
| 56.72 | 18 |
| 66.80 | 10 |
| 80.25 | 11 |

Cell: 6.5036 6.5036 6.5036 Å, 59.88 59.88 59.88°
Element x y z (fractional)
Hf (0.0000, 0.0000, 0.0000)
Hf (0.1245, 0.6249, 0.6249)
Hf (0.6249, 0.1245, 0.6249)
Hf (0.6249, 0.6249, 0.1245)
Zr (0.6251, 0.6251, 0.6251)
Pa (0.2494, 0.2494, 0.2494)
N (0.3848, 0.3848, 0.8395)
N (0.3848, 0.8395, 0.3848)
N (0.3869, 0.3869, 0.3869)
N (0.3933, 0.8712, 0.8712)
N (0.8395, 0.3848, 0.3848)
N (0.8680, 0.8680, 0.8680)
N (0.8712, 0.3933, 0.8712)
N (0.8712, 0.8712, 0.3933)

# 11
For Hf4PdN2, a structure optimized by DFT (GGA-PBE) gives the computed powder XRD pattern in this record (Cu Ka).

Peak list (10 most intense, 2θ from 15° to 90°, by angle)
| Position (°2θ) | I/Imax |
| --- | --- |
| 32.18 | 32 |
| 34.66 | 93 |
| 35.89 | 37 |
| 36.57 | 100 |
| 37.36 | 99 |
| 39.75 | 28 |
| 55.26 | 30 |
| 67.31 | 28 |
| 67.74 | 30 |
| 70.24 | 23 |

Cell: 5.7754 5.7754 11.7103 Å, 90.00 90.00 146.81°
Element x y z (fractional)
Hf (0.0000, 0.0000, 0.0000)
Hf (0.0000, 0.0000, 0.5000)
Hf (0.2630, 0.7370, 0.6069)
Hf (0.2630, 0.7370, 0.8931)
Hf (0.4221, 0.5779, 0.2500)
Hf (0.5779, 0.4221, 0.7500)
Hf (0.7370, 0.2630, 0.1069)
Hf (0.7370, 0.2630, 0.3931)
Pd (0.1118, 0.8882, 0.2500)
Pd (0.8882, 0.1118, 0.7500)
N (0.3665, 0.6335, 0.0602)
N (0.3665, 0.6335, 0.4398)
N (0.6335, 0.3665, 0.5602)
N (0.6335, 0.3665, 0.9398)

# 12
For Pm3HfN4, a structure optimized by DFT (GGA-PBE) gives the computed powder XRD pattern in this record (Cu Ka).

Peak list (10 most intense, 2θ from 15° to 90°, by angle)
| Position (°2θ) | I/Imax |
| --- | --- |
| 31.19 | 71 |
| 31.44 | 69 |
| 36.32 | 100 |
| 51.95 | 12 |
| 52.31 | 46 |
| 52.59 | 11 |
| 61.99 | 21 |
| 62.40 | 31 |
| 65.06 | 12 |
| 65.62 | 11 |

Cell: 6.0680 6.0680 3.4804 Å, 90.00 90.00 109.08°
Element x y z (fractional)
Pm (0.0000, 0.0000, 0.0000)
Pm (0.0000, 0.5000, 0.5000)
Pm (0.5000, 0.0000, 0.5000)
Hf (0.5000, 0.5000, 0.0000)
N (0.2670, 0.7330, 0.0000)
N (0.2756, 0.2756, 0.5000)
N (0.7244, 0.7244, 0.5000)
N (0.7330, 0.2670, 0.0000)